(1)
CaNiSn2: computed powder diffractogram (Cu Kα (weighted mean of Kα1 and Kα2)), based on DFT lattice parameters and positions (PBE).
Peak positions follow from Bragg's law for the DFT cell and can differ from measured ones.

The 10 most intense peaks (10 to 90 degrees two-theta), most intense first:
2θ/deg	Rel. int.
32.71	100.0
39.12	56.7
37.03	39.8
27.64	35.1
36.27	26.4
54.97	25.3
43.59	23.6
66.85	23.5
10.40	22.8
46.46	22.1

Cell and atoms:
Cell: 4.605 9.391 17.018 Å, 90.00 90.00 90.00°
Space group Immm (No. 71)
Symmetry-distinct sites (fractional):
Ca (0.000, 0.000, 0.207) (multiplicity 4)
Ca (0.000, 0.231, 0.000) (multiplicity 4)
Ni (0.000, 0.254, 0.350) (multiplicity 8)
Sn (0.000, 0.000, 0.413) (multiplicity 4)
Sn (0.000, 0.337, 0.195) (multiplicity 8)
Sn (0.000, 0.500, 0.417) (multiplicity 4)


(2)
Pm2Er8Tl: computed powder diffractogram (Cu Kα (weighted mean of Kα1 and Kα2)), based on DFT lattice parameters and positions (PBE).
Peak positions follow from Bragg's law for the DFT cell and can differ from measured ones.

The 10 most intense peaks (10 to 90 degrees two-theta), most intense first:
2θ/deg	Rel. int.
31.21	100.0
31.33	98.8
36.28	66.7
62.05	49.0
52.19	35.5
36.22	33.8
62.22	20.8
62.32	13.7
65.08	12.1
52.08	11.9

Cell and atoms:
Cell: 6.076 6.079 9.246 Å, 90.20 96.38 99.69°
Space group P-1 (No. 2)
Symmetry-distinct sites (fractional):
Pm (0.135, 0.279, 0.041) (multiplicity 2)
Er (0.047, 0.095, 0.675) (multiplicity 2)
Er (0.233, 0.462, 0.411) (multiplicity 2)
Er (0.309, 0.640, 0.769) (multiplicity 2)
Er (0.413, 0.820, 0.142) (multiplicity 2)
Tl (0.500, 0.000, 0.500) (multiplicity 1)


(3)
CsKAsPd: computed powder diffractogram (Cu Kα (weighted mean of Kα1 and Kα2)), based on DFT lattice parameters and positions (PBE).
Peak positions follow from Bragg's law for the DFT cell and can differ from measured ones.

The 10 most intense peaks (10 to 90 degrees two-theta), most intense first:
2θ/deg	Rel. int.
27.86	100.0
31.58	75.6
41.16	70.8
26.34	65.7
55.96	54.0
42.20	43.0
36.21	32.7
33.72	31.9
49.89	30.8
26.96	28.0

Cell and atoms:
Cell: 4.3861 4.3861 29.7686 Å, 90.00 90.00 120.00°
Space group R3m (No. 160, hexagonal axes)
Symmetry-distinct sites (fractional):
Cs (0.0000, 0.0000, 0.0000) (multiplicity 3)
K (0.0000, 0.0000, 0.8369) (multiplicity 3)
As (0.0000, 0.0000, 0.2458) (multiplicity 3)
Pd (0.0000, 0.0000, 0.5792) (multiplicity 3)